# 1
For ZnGaPtO6, a crystal structure in Alexandria, relaxed with GGA-PBE gives the calculated powder diffraction line list in this record (Cu Kα).

Atomic structure:
```
data_ZnGaPtO6
_chemical_formula_sum 'Zn2 Ga2 Pt2 O12'
_cell_length_a 5.1536
_cell_length_b 5.1536
_cell_length_c 8.6296
_cell_angle_alpha 90.00
_cell_angle_beta 90.00
_cell_angle_gamma 120.00
_space_group_name_H-M_alt 'P -3 1 c'
_space_group_IT_number 163
_space_group_name_Hall '-P 3 2c'
loop_
_atom_site_label
_atom_site_type_symbol
_atom_site_fract_x
_atom_site_fract_y
_atom_site_fract_z
_atom_site_occupancy
Zn1 Zn 0.0000 0.0000 0.0000 1
Ga1 Ga 0.3333 0.6667 0.2500 1
Pt1 Pt 0.3333 0.6667 0.7500 1
O1 O 0.0033 0.3544 0.6275 1
```

The 10 most intense peaks (2θ from 10° to 90°), by angle:
- hkl 0 0 2, 20.6 deg, intensity 35
- hkl 1 0 1, 22.4 deg, intensity 46
- hkl 1 0 2, 28.8 deg, intensity 100
- hkl 1 1 0, 34.8 deg, intensity 60
- hkl 1 1 2, 40.8 deg, intensity 41
- hkl 0 0 4, 41.8 deg, intensity 18
- hkl 2 0 2, 45.8 deg, intensity 28
- hkl 1 1 4, 55.5 deg, intensity 62
- hkl 2 1 2, 58.8 deg, intensity 26
- hkl 3 0 0, 62.4 deg, intensity 22



# 2
For RbPuGaO6, a crystal structure in Alexandria, relaxed with GGA-PBE gives the calculated powder diffraction line list in this record (Cu Kα).

Atomic structure:
```
data_RbPuGaO6
_chemical_formula_sum 'Rb1 Pu1 Ga1 O6'
_cell_length_a 5.3255
_cell_length_b 5.3255
_cell_length_c 6.4427
_cell_angle_alpha 90.00
_cell_angle_beta 90.00
_cell_angle_gamma 120.00
_space_group_name_H-M_alt 'P 3 1 2'
_space_group_IT_number 149
_space_group_name_Hall 'P 3 2'
loop_
_atom_site_label
_atom_site_type_symbol
_atom_site_fract_x
_atom_site_fract_y
_atom_site_fract_z
_atom_site_occupancy
Rb1 Rb 0.0000 0.0000 0.0000 1
Pu1 Pu 0.6667 0.3333 0.5000 1
Ga1 Ga 0.3333 0.6667 0.5000 1
O1 O 0.3842 0.0040 0.3261 1
```

The 10 most intense peaks (2θ from 10° to 90°), by angle:
- hkl 0 0 1, 13.7 deg, intensity 52
- hkl 1 0 0, 19.2 deg, intensity 26
- hkl 1 0 1, 23.7 deg, intensity 100
- hkl 0 0 2, 27.7 deg, intensity 16
- hkl 1 1 0, 33.7 deg, intensity 31
- hkl 1 1 1, 36.5 deg, intensity 18
- hkl 2 0 1, 41.6 deg, intensity 20
- hkl 1 1 2, 44.1 deg, intensity 43
- hkl 1 0 3, 46.7 deg, intensity 14
- hkl 2 1 1, 54.5 deg, intensity 20



# 3
For Rb2PuGaO6, a crystal structure in Alexandria, relaxed with GGA-PBE gives the calculated powder diffraction line list in this record (Cu Kα).

Atomic structure:
```
data_Rb2PuGaO6
_chemical_formula_sum 'Rb12 Pu6 Ga6 O36'
_cell_length_a 6.0363
_cell_length_b 6.0363
_cell_length_c 29.4799
_cell_angle_alpha 90.00
_cell_angle_beta 90.00
_cell_angle_gamma 120.00
_space_group_name_H-M_alt 'R -3 m'
_space_group_IT_number 166
_space_group_name_Hall '-R 3 2"'
loop_
_atom_site_label
_atom_site_type_symbol
_atom_site_fract_x
_atom_site_fract_y
_atom_site_fract_z
_atom_site_occupancy
Rb1 Rb 0.0000 0.0000 0.1325 1
Rb2 Rb 0.0000 0.0000 0.2851 1
Pu1 Pu 0.0000 0.0000 0.4077 1
Ga1 Ga 0.0000 0.0000 0.0000 1
Ga2 Ga 0.0000 0.0000 0.5000 1
O1 O 0.0011 0.5005 0.2948 1
O2 O 0.0425 0.5213 0.1209 1
```

The 10 most intense peaks (2θ from 10° to 90°), by angle:
- hkl 1 0 1, 17.2 deg, intensity 49
- hkl 0 0 6, 18.0 deg, intensity 27
- hkl 1 0 7, 27.2 deg, intensity 52
- hkl 1 1 0, 29.6 deg, intensity 100
- hkl 1 0 10, 34.9 deg, intensity 34
- hkl 0 2 7, 40.6 deg, intensity 39
- hkl 0 2 10, 46.4 deg, intensity 18
- hkl 3 0 0, 52.5 deg, intensity 22
- hkl 2 1 10, 56.0 deg, intensity 19
- hkl 2 2 0, 61.4 deg, intensity 18



# 4
For PuGaSnO6, a crystal structure in Alexandria, relaxed with GGA-PBE gives the calculated powder diffraction line list in this record (Cu Kα).

Atomic structure:
```
data_PuGaSnO6
_chemical_formula_sum 'Pu2 Ga2 Sn2 O12'
_cell_length_a 5.2874
_cell_length_b 5.2874
_cell_length_c 9.1725
_cell_angle_alpha 90.00
_cell_angle_beta 90.00
_cell_angle_gamma 120.00
_space_group_name_H-M_alt 'P -3 1 c'
_space_group_IT_number 163
_space_group_name_Hall '-P 3 2c'
loop_
_atom_site_label
_atom_site_type_symbol
_atom_site_fract_x
_atom_site_fract_y
_atom_site_fract_z
_atom_site_occupancy
Pu1 Pu 0.3333 0.6667 0.2500 1
Ga1 Ga 0.3333 0.6667 0.7500 1
Sn1 Sn 0.0000 0.0000 0.0000 1
O1 O 0.0168 0.3421 0.6287 1
```

The 10 most intense peaks (2θ from 10° to 90°), by angle:
- hkl 0 0 2, 19.4 deg, intensity 20
- hkl 1 0 1, 21.7 deg, intensity 41
- hkl 1 0 2, 27.5 deg, intensity 100
- hkl 1 1 0, 33.9 deg, intensity 55
- hkl 0 0 4, 39.3 deg, intensity 31
- hkl 2 0 2, 44.2 deg, intensity 29
- hkl 1 1 4, 52.9 deg, intensity 50
- hkl 2 1 2, 56.9 deg, intensity 28
- hkl 3 0 0, 60.7 deg, intensity 19
- hkl 3 0 4, 74.7 deg, intensity 20



# 5
For Sr3PuGa2O9, a crystal structure in Alexandria, relaxed with GGA-PBE gives the calculated powder diffraction line list in this record (Cu Kα).

Atomic structure:
```
data_Sr3PuGa2O9
_chemical_formula_sum 'Sr3 Pu1 Ga2 O9'
_cell_length_a 5.6876
_cell_length_b 5.6876
_cell_length_c 7.0790
_cell_angle_alpha 90.00
_cell_angle_beta 90.00
_cell_angle_gamma 120.00
_space_group_name_H-M_alt 'P -3 m 1'
_space_group_IT_number 164
_space_group_name_Hall '-P 3 2"'
loop_
_atom_site_label
_atom_site_type_symbol
_atom_site_fract_x
_atom_site_fract_y
_atom_site_fract_z
_atom_site_occupancy
Sr1 Sr 0.0000 0.0000 0.0000 1
Sr2 Sr 0.3333 0.6667 0.7031 1
Pu1 Pu 0.0000 0.0000 0.5000 1
Ga1 Ga 0.3333 0.6667 0.1502 1
O1 O 0.0000 0.5000 0.0000 1
O2 O 0.1689 0.3377 0.3283 1
```

The 10 most intense peaks (2θ from 10° to 90°), by angle:
- hkl 1 0 0, 18.0 deg, intensity 24
- hkl 0 1 1, 22.0 deg, intensity 44
- hkl 0 1 2, 31.1 deg, intensity 100
- hkl 1 1 0, 31.5 deg, intensity 92
- hkl 2 0 2, 44.8 deg, intensity 62
- hkl 1 0 4, 55.1 deg, intensity 16
- hkl 1 2 2, 55.8 deg, intensity 40
- hkl 3 0 0, 56.0 deg, intensity 19
- hkl 2 2 0, 65.7 deg, intensity 18
- hkl 3 1 2, 74.4 deg, intensity 17



# 6
For SrPuGaO5, a crystal structure in Alexandria, relaxed with GGA-PBE gives the calculated powder diffraction line list in this record (Cu Kα).

Atomic structure:
```
data_SrPuGaO5
_chemical_formula_sum 'Sr4 Pu4 Ga4 O20'
_cell_length_a 7.1673
_cell_length_b 9.6606
_cell_length_c 7.8523
_cell_angle_alpha 90.00
_cell_angle_beta 113.97
_cell_angle_gamma 90.00
_space_group_name_H-M_alt 'C 1 2/c 1'
_space_group_IT_number 15
_space_group_name_Hall '-C 2yc'
loop_
_atom_site_label
_atom_site_type_symbol
_atom_site_fract_x
_atom_site_fract_y
_atom_site_fract_z
_atom_site_occupancy
Sr1 Sr 0.0000 0.1672 0.2500 1
Pu1 Pu 0.0000 0.5000 0.0000 1
Ga1 Ga 0.0000 0.1847 0.7500 1
O1 O 0.0000 0.4243 0.2500 1
O2 O 0.1029 0.2919 0.6096 1
O3 O 0.1881 0.0569 0.9091 1
```

The 10 most intense peaks (2θ from 10° to 90°), by angle:
- hkl 1 1 0, 16.4 deg, intensity 70
- hkl 1 1 -2, 24.7 deg, intensity 100
- hkl 2 0 0, 27.2 deg, intensity 59
- hkl 1 3 0, 30.9 deg, intensity 73
- hkl 0 2 2, 31.1 deg, intensity 56
- hkl 2 2 -2, 34.1 deg, intensity 30
- hkl 1 1 2, 34.3 deg, intensity 27
- hkl 3 1 -2, 39.8 deg, intensity 25
- hkl 2 0 -4, 46.8 deg, intensity 21
- hkl 3 3 0, 50.5 deg, intensity 24